Record 1
Gd2YSnPb6: calculated powder diffraction line list (Cu Kα (λ = 1.5418 Å)), based on a DFT-relaxed cell (PBE, OQMD).
Lines closer than 0.1° are merged.

Most intense lines, 2θ = 10–90°, low angle first:
| 2theta | d [Å] | intensity |
| --- | --- | --- |
| 32.2 | 2.782 | 100 |
| 33.1 | 2.709 | 21 |
| 39.0 | 2.310 | 16 |
| 39.6 | 2.275 | 15 |
| 52.0 | 1.758 | 12 |
| 58.5 | 1.578 | 14 |
| 66.4 | 1.409 | 13 |
| 67.3 | 1.392 | 23 |

Structure:
Unit cell a=13.7363 b=13.7363 c=4.6206 alpha=90.00 beta=90.00 gamma=160.94
Element x y z (fractional)
Gd 0.1911 0.8089 0.0000
Gd 0.8089 0.1911 0.0000
Y 0.5000 0.5000 0.5000
Sn 0.0000 0.0000 0.0000
Pb 0.0963 0.9037 0.5000
Pb 0.2911 0.7089 0.5000
Pb 0.4042 0.5958 0.0000
Pb 0.5958 0.4042 0.0000
Pb 0.7089 0.2911 0.5000
Pb 0.9037 0.0963 0.5000


Record 2
La2Sm2CI2Br3: calculated powder diffraction line list (Cu Kα (λ = 1.5418 Å)), based on a DFT-relaxed cell (PBE, OQMD).
Lines closer than 0.1° are merged.

Most intense lines, 2θ = 10–90°, low angle first:
| 2theta | d [Å] | intensity |
| --- | --- | --- |
| 10.5 | 8.403 | 50 |
| 28.6 | 3.119 | 40 |
| 30.4 | 2.944 | 100 |
| 32.6 | 2.747 | 29 |
| 38.5 | 2.336 | 18 |
| 41.9 | 2.155 | 26 |
| 42.5 | 2.127 | 23 |
| 44.8 | 2.023 | 18 |

Structure:
Unit cell a=9.7724 b=9.7724 c=8.5870 alpha=101.63 beta=101.63 gamma=23.89
Element x y z (fractional)
La 0.0011 0.0011 0.2925
La 0.9989 0.9989 0.7075
Sm 0.3667 0.3667 0.4320
Sm 0.6333 0.6333 0.5680
C 0.5000 0.5000 0.5000
I 0.1752 0.1752 0.3179
I 0.8248 0.8248 0.6821
Br 0.1605 0.1605 0.8238
Br 0.5000 0.5000 0.0000
Br 0.8395 0.8395 0.1762